For ScH5Os, a PBE-relaxed structure gives the computed X-ray diffraction stick pattern in this record (Cu Kα (λ = 1.5418 Å)).
No peak broadening, texture or thermal motion is included.

Atomic structure:
Lattice parameters (Å, degrees): 7.1695 8.1430 4.7919 90.00 124.58 90.00
Space group C2/c (No. 15)
Symmetry-distinct sites (fractional):
Sc (0.0000, 0.1361, 0.2500) [4 per cell]
H (0.0000, 0.3670, 0.7500) [4 per cell]
H (0.1950, 0.3326, 0.2737) [8 per cell]
H (0.2020, 0.0564, 0.0879) [8 per cell]
Os (0.2500, 0.2500, 0.0000) [4 per cell]

Principal peaks in the range 10° ≤ 2θ ≤ 90°, most intense first:
2theta  Rel. int.  index
21.6  100.0  1 1 -1
21.8  78.7  0 2 0
35.5  60.7  1 1 1
38.2  44.6  1 3 -1
39.4  44.2  3 1 -1
37.6  34.4  2 2 0
37.8  27.9  2 0 -2
44.1  26.1  2 2 -2
30.3  19.8  2 0 0
54.8  18.9  2 4 0

***

For Tb2Zn3Ag5, a PBE-relaxed structure gives the computed X-ray diffraction stick pattern in this record (Cu Kα (λ = 1.5418 Å)).
No peak broadening, texture or thermal motion is included.

Atomic structure:
Lattice parameters (Å, degrees): 11.5658 12.1700 5.7660 90.00 90.00 90.00
Space group Ibam (No. 72)
Symmetry-distinct sites (fractional):
Tb (0.1318, 0.2339, 0.0000) [8 per cell]
Zn (0.0000, 0.5000, 0.2500) [4 per cell]
Zn (0.1296, 0.1359, 0.5000) [8 per cell]
Ag (0.0000, 0.0000, 0.2500) [4 per cell]
Ag (0.1066, 0.3447, 0.5000) [8 per cell]
Ag (0.2415, 0.5000, 0.2500) [8 per cell]

Principal peaks in the range 10° ≤ 2θ ≤ 90°, most intense first:
2theta  Rel. int.  index
34.4  100.0  0 2 2
44.4  41.1  4 0 2
31.1  35.7  2 3 1
43.3  30.4  2 5 1
43.2  13.2  0 4 2
63.8  9.5  2 5 3
75.3  9.5  4 2 4
29.4  9.1  0 4 0
75.2  8.3  8 2 2
63.7  7.8  6 5 1